# NiGeF4
Theoretical powder X-ray diffraction pattern, Cu Kα X-rays. Input: a structure optimized by DFT (GGA+U).
No peak broadening, texture or thermal motion is included.

Cell and atoms:
```
data_NiGeF4
_symmetry_space_group_name_H-M 'P m n 21'
_symmetry_Int_Tables_number 31
_symmetry_space_group_name_Hall 'P 2ac -2'
_cell_length_a 5.538
_cell_length_b 5.689
_cell_length_c 5.313
_cell_angle_alpha 90.00
_cell_angle_beta 90.00
_cell_angle_gamma 90.00
loop_
_atom_site_label
_atom_site_fract_x
_atom_site_fract_y
_atom_site_fract_z
_atom_site_occupancy
Ni1 0.000 0.025 0.000 1
Ge1 0.000 0.599 0.558 1
F1 0.000 0.344 0.870 1
F2 0.000 0.745 0.209 1
F3 0.226 0.851 0.733 1
```

Most intense lines, 2θ = 10–90°, in order of falling intensity:
Position (°2θ), Rel. int., index
28.1, 100, 1 1 1
32.3, 26, 2 0 0
22.9, 25, 0 1 1
47.4, 17, 2 0 2
55.1, 16, 3 1 1
49.8, 15, 1 2 2
56.9, 14, 1 1 3
40.0, 14, 2 1 1
22.4, 12, 1 1 0
46.8, 10, 0 2 2